1.
# Y2AlCu3Ge4
Computed X-ray diffraction stick pattern, Cu Kα, 1.54184 Å. Input: a crystal structure in Alexandria, relaxed with GGA-PBE.
Neutral-atom scattering factors, no anomalous dispersion.

The 8 most intense peaks (15 to 90 degrees two-theta), low angle first:
2theta  d_spacing  intensity
33.62  2.666  53.8
35.36  2.539  100.0
44.20  2.049  59.5
46.61  1.949  22.4
48.60  1.873  34.6
56.66  1.625  22.9
67.78  1.383  24.4
75.56  1.258  20.4

Structure:
abc: 4.0981 4.0981 10.5309
angles: 90.00 90.00 90.00
Fractional coordinates of all 10 atoms:
Y1 0.0000 0.5000 0.2442
Y2 0.5000 0.0000 0.7558
Al1 0.0000 0.0000 0.5000
Cu1 0.0000 0.5000 0.8678
Cu2 0.5000 0.0000 0.1322
Cu3 0.5000 0.5000 0.5000
Ge1 0.0000 0.0000 0.0000
Ge2 0.0000 0.5000 0.6449
Ge3 0.5000 0.0000 0.3551
Ge4 0.5000 0.5000 0.0000


2.
# RbGa3Tc
Computed X-ray diffraction stick pattern, Cu Kα, 1.54184 Å. Input: a crystal structure in Alexandria, relaxed with GGA-PBE.
Neutral-atom scattering factors, no anomalous dispersion.

The 8 most intense peaks (15 to 90 degrees two-theta), low angle first:
2theta  d_spacing  intensity
27.98  3.189  60.8
33.14  2.703  38.8
34.06  2.632  35.0
35.18  2.551  53.6
40.27  2.239  58.9
40.75  2.214  100.0
46.28  1.962  44.5
50.37  1.812  54.0

Structure:
abc: 4.6999 5.0947 12.7733
angles: 90.02 92.93 90.00
Fractional coordinates of all 10 atoms:
Rb1 0.0000 0.0000 0.0000
Rb2 0.4759 0.5012 0.6767
Ga1 0.0831 0.5003 0.2209
Ga2 0.3864 0.0005 0.4560
Ga3 0.5872 0.2414 0.2424
Ga4 0.5873 0.7595 0.2425
Ga5 0.8823 0.2595 0.4342
Ga6 0.8823 0.7415 0.4343
Tc1 0.0970 0.0004 0.2715
Tc2 0.3726 0.5005 0.4053


3.
# Ba2Tl4Hg9
Computed X-ray diffraction stick pattern, Cu Kα, 1.54184 Å. Input: a crystal structure in Alexandria, relaxed with GGA-PBE.
Neutral-atom scattering factors, no anomalous dispersion.

The 8 most intense peaks (15 to 90 degrees two-theta), low angle first:
2theta  d_spacing  intensity
30.89  2.895  78.9
33.66  2.663  100.0
34.88  2.572  18.4
46.33  1.960  26.2
58.47  1.578  26.5
60.19  1.537  19.6
70.76  1.331  12.4
79.18  1.210  11.3

Structure:
abc: 5.3258 5.3258 18.5913
angles: 90.00 90.00 120.00
Fractional coordinates of all 15 atoms:
Ba1 0.3333 0.6667 0.2636
Ba2 0.6667 0.3333 0.7364
Tl1 0.3333 0.6667 0.6278
Tl2 0.3333 0.6667 0.8793
Tl3 0.6667 0.3333 0.1207
Tl4 0.6667 0.3333 0.3722
Hg1 0.0000 0.0000 0.0000
Hg2 0.0000 0.0000 0.1709
Hg3 0.0000 0.0000 0.3703
Hg4 0.0000 0.0000 0.6297
Hg5 0.0000 0.0000 0.8291
Hg6 0.3333 0.6667 0.0614
Hg7 0.3333 0.6667 0.4633
Hg8 0.6667 0.3333 0.5367
Hg9 0.6667 0.3333 0.9386


4.
# K2Tl2In
Computed X-ray diffraction stick pattern, Cu Kα, 1.54184 Å. Input: a crystal structure in Alexandria, relaxed with GGA-PBE.
Neutral-atom scattering factors, no anomalous dispersion.

The 8 most intense peaks (15 to 90 degrees two-theta), low angle first:
2theta  d_spacing  intensity
18.75  4.733  100.0
21.01  4.228  28.0
26.89  3.316  50.0
27.20  3.279  48.2
32.33  2.769  36.9
33.06  2.710  71.5
34.44  2.604  70.1
41.26  2.188  32.1

Structure:
abc: 6.9180 6.9180 13.0348
angles: 115.75 115.75 44.25
Fractional coordinates of all 10 atoms:
K1 0.0013 0.0013 0.3311
K2 0.2054 0.2054 0.1149
K3 0.7946 0.7946 0.8851
K4 0.9987 0.9987 0.6689
Tl1 0.3554 0.3554 0.4482
Tl2 0.4990 0.4990 0.1148
Tl3 0.5010 0.5010 0.8852
Tl4 0.6446 0.6446 0.5518
In1 0.2820 0.2820 0.6484
In2 0.7180 0.7180 0.3516


5.
# Ac2Ag2Hg
Computed X-ray diffraction stick pattern, Cu Kα, 1.54184 Å. Input: a crystal structure in Alexandria, relaxed with GGA-PBE.
Neutral-atom scattering factors, no anomalous dispersion.

The 8 most intense peaks (15 to 90 degrees two-theta), low angle first:
2theta  d_spacing  intensity
29.80  2.998  63.7
30.35  2.945  17.7
31.72  2.821  100.0
34.04  2.634  46.7
41.83  2.159  20.4
49.83  1.830  18.4
51.11  1.787  17.4
54.99  1.670  23.9

Structure:
abc: 8.3295 8.3295 8.6373
angles: 90.00 90.00 90.00
Fractional coordinates of all 20 atoms:
Ac1 0.1783 0.3217 0.0000
Ac2 0.1783 0.3217 0.5000
Ac3 0.3217 0.8217 0.0000
Ac4 0.3217 0.8217 0.5000
Ac5 0.6783 0.1783 0.0000
Ac6 0.6783 0.1783 0.5000
Ac7 0.8217 0.6783 0.0000
Ac8 0.8217 0.6783 0.5000
Ag1 0.1207 0.6207 0.2500
Ag2 0.1207 0.6207 0.7500
Ag3 0.3793 0.1207 0.2500
Ag4 0.3793 0.1207 0.7500
Ag5 0.6207 0.8793 0.2500
Ag6 0.6207 0.8793 0.7500
Ag7 0.8793 0.3793 0.2500
Ag8 0.8793 0.3793 0.7500
Hg1 0.0000 0.0000 0.2494
Hg2 0.0000 0.0000 0.7506
Hg3 0.5000 0.5000 0.2506
Hg4 0.5000 0.5000 0.7494


6.
# Ba3Bi2TeO9
Computed X-ray diffraction stick pattern, Cu Kα, 1.54184 Å. Input: a crystal structure in Alexandria, relaxed with GGA-PBE.
Neutral-atom scattering factors, no anomalous dispersion.

The 8 most intense peaks (15 to 90 degrees two-theta), low angle first:
2theta  d_spacing  intensity
28.49  3.133  99.1
28.89  3.090  100.0
41.02  2.200  52.9
50.45  1.809  23.3
50.70  1.801  43.4
51.44  1.776  20.1
66.97  1.397  19.0
67.60  1.386  19.2

Structure:
abc: 6.2659 6.2659 15.0387
angles: 90.00 90.00 120.00
Fractional coordinates of all 30 atoms:
Ba1 0.0000 0.0000 0.2500
Ba2 0.0000 0.0000 0.7500
Ba3 0.3333 0.6667 0.0815
Ba4 0.3333 0.6667 0.5815
Ba5 0.6667 0.3333 0.4185
Ba6 0.6667 0.3333 0.9185
Bi1 0.3333 0.6667 0.3326
Bi2 0.3333 0.6667 0.8326
Bi3 0.6667 0.3333 0.1674
Bi4 0.6667 0.3333 0.6674
Te1 0.0000 0.0000 0.0000
Te2 0.0000 0.0000 0.5000
O1 0.0000 0.4427 0.2500
O2 0.0000 0.5573 0.7500
O3 0.0806 0.2894 0.9249
O4 0.0806 0.7912 0.4249
O5 0.2088 0.2894 0.4249
O6 0.2088 0.9194 0.9249
O7 0.2894 0.0806 0.5751
O8 0.2894 0.2088 0.0751
O9 0.4427 0.0000 0.2500
O10 0.4427 0.4427 0.7500
O11 0.5573 0.0000 0.7500
O12 0.5573 0.5573 0.2500
O13 0.7106 0.7912 0.9249
O14 0.7106 0.9194 0.4249
O15 0.7912 0.0806 0.0751
O16 0.7912 0.7106 0.5751
O17 0.9194 0.2088 0.5751
O18 0.9194 0.7106 0.0751


7.
# Zr3Al2N
Computed X-ray diffraction stick pattern, Cu Kα, 1.54184 Å. Input: a crystal structure in Alexandria, relaxed with GGA-PBE.
Neutral-atom scattering factors, no anomalous dispersion.

The 8 most intense peaks (15 to 90 degrees two-theta), low angle first:
2theta  d_spacing  intensity
16.91  5.242  15.8
20.75  4.280  13.7
26.89  3.316  17.4
36.35  2.471  100.0
38.40  2.344  56.4
40.35  2.235  20.3
64.04  1.454  19.8
68.11  1.377  20.5

Structure:
abc: 7.4138 7.4138 7.4138
angles: 90.00 90.00 90.00
Fractional coordinates of all 24 atoms:
Zr1 0.0428 0.1250 0.7928
Zr2 0.1250 0.7928 0.0428
Zr3 0.2072 0.5428 0.3750
Zr4 0.2928 0.4572 0.8750
Zr5 0.3750 0.2072 0.5428
Zr6 0.4572 0.8750 0.2928
Zr7 0.5428 0.3750 0.2072
Zr8 0.6250 0.7072 0.9572
Zr9 0.7072 0.9572 0.6250
Zr10 0.7928 0.0428 0.1250
Zr11 0.8750 0.2928 0.4572
Zr12 0.9572 0.6250 0.7072
Al1 0.0723 0.9277 0.4277
Al2 0.1777 0.1777 0.1777
Al3 0.3223 0.8223 0.6777
Al4 0.4277 0.0723 0.9277
Al5 0.5723 0.5723 0.5723
Al6 0.6777 0.3223 0.8223
Al7 0.8223 0.6777 0.3223
Al8 0.9277 0.4277 0.0723
N1 0.1250 0.3750 0.6250
N2 0.3750 0.6250 0.1250
N3 0.6250 0.1250 0.3750
N4 0.8750 0.8750 0.8750


8.
# K5SnSb3
Computed X-ray diffraction stick pattern, Cu Kα, 1.54184 Å. Input: a crystal structure in Alexandria, relaxed with GGA-PBE.
Neutral-atom scattering factors, no anomalous dispersion.

The 8 most intense peaks (15 to 90 degrees two-theta), low angle first:
2theta  d_spacing  intensity
18.70  4.746  35.9
20.11  4.416  31.1
26.37  3.380  50.1
27.59  3.233  90.3
31.68  2.824  100.0
33.17  2.701  50.7
35.89  2.502  30.6
37.80  2.380  22.9

Structure:
abc: 9.9437 8.8318 18.9884
angles: 90.00 121.40 90.00
Fractional coordinates of all 36 atoms:
K1 0.0527 0.0072 0.2448
K2 0.0527 0.4928 0.7448
K3 0.2401 0.5197 0.5776
K4 0.2401 0.9803 0.0776
K5 0.3360 0.6608 0.2594
K6 0.3360 0.8392 0.7594
K7 0.3429 0.1726 0.9207
K8 0.3429 0.3274 0.4207
K9 0.3888 0.0063 0.5866
K10 0.3888 0.4937 0.0866
K11 0.6112 0.5063 0.9134
K12 0.6112 0.9937 0.4134
K13 0.6571 0.6726 0.5793
K14 0.6571 0.8274 0.0793
K15 0.6640 0.1608 0.2406
K16 0.6640 0.3392 0.7406
K17 0.7599 0.0197 0.9224
K18 0.7599 0.4803 0.4224
K19 0.9473 0.5072 0.2552
K20 0.9473 0.9928 0.7552
Sn1 0.0139 0.1440 0.5869
Sn2 0.0139 0.3560 0.0869
Sn3 0.9861 0.6440 0.9131
Sn4 0.9861 0.8560 0.4131
Sb1 0.0165 0.1888 0.4338
Sb2 0.0165 0.3112 0.9338
Sb3 0.2622 0.7372 0.4194
Sb4 0.2622 0.7628 0.9194
Sb5 0.3090 0.2345 0.7280
Sb6 0.3090 0.2655 0.2280
Sb7 0.6910 0.7345 0.7720
Sb8 0.6910 0.7655 0.2720
Sb9 0.7378 0.2372 0.0806
Sb10 0.7378 0.2628 0.5806
Sb11 0.9835 0.6888 0.0662
Sb12 0.9835 0.8112 0.5662


9.
# Ti3Re3Mo
Computed X-ray diffraction stick pattern, Cu Kα, 1.54184 Å. Input: a crystal structure in Alexandria, relaxed with GGA-PBE.
Neutral-atom scattering factors, no anomalous dispersion.

The 8 most intense peaks (15 to 90 degrees two-theta), low angle first:
2theta  d_spacing  intensity
29.11  3.067  48.9
29.66  3.012  31.5
36.12  2.487  11.5
41.38  2.182  25.1
41.91  2.156  19.3
42.04  2.149  100.0
51.73  1.767  9.9
75.91  1.253  11.7

Structure:
abc: 6.1349 6.1349 6.0242
angles: 90.00 90.00 90.70
Fractional coordinates of all 14 atoms:
Ti1 0.0000 0.0000 0.2478
Ti2 0.0000 0.0000 0.7522
Ti3 0.0000 0.5000 0.2477
Ti4 0.0000 0.5000 0.7523
Ti5 0.5000 0.0000 0.2477
Ti6 0.5000 0.0000 0.7523
Re1 0.2482 0.7518 0.0000
Re2 0.2504 0.2504 0.5000
Re3 0.3073 0.3073 0.0000
Re4 0.6927 0.6927 0.0000
Re5 0.7496 0.7496 0.5000
Re6 0.7518 0.2482 0.0000
Mo1 0.3072 0.6928 0.5000
Mo2 0.6928 0.3072 0.5000


10.
# ZnHg2Te3
Computed X-ray diffraction stick pattern, Cu Kα, 1.54184 Å. Input: a crystal structure in Alexandria, relaxed with GGA-PBE.
Neutral-atom scattering factors, no anomalous dispersion.

The 8 most intense peaks (15 to 90 degrees two-theta), low angle first:
2theta  d_spacing  intensity
23.77  3.744  100.0
39.24  2.296  25.6
39.33  2.291  51.6
46.39  1.957  32.3
46.55  1.951  16.3
62.45  1.487  16.8
71.19  1.325  16.6
71.36  1.322  8.6

Structure:
abc: 7.9512 7.9512 7.9285
angles: 99.48 99.48 120.18
Fractional coordinates of all 12 atoms:
Zn1 0.0800 0.9200 0.5000
Zn2 0.9200 0.0800 0.0000
Hg1 0.2438 0.7532 0.9997
Hg2 0.4162 0.5844 0.4995
Hg3 0.5844 0.4162 0.9995
Hg4 0.7532 0.2438 0.4997
Te1 0.1205 0.6409 0.6170
Te2 0.2733 0.4427 0.1162
Te3 0.4427 0.2733 0.6162
Te4 0.6409 0.1205 0.1170
Te5 0.8105 0.9588 0.6391
Te6 0.9588 0.8105 0.1391


11.
# NpBr4O
Computed X-ray diffraction stick pattern, Cu Kα, 1.54184 Å. Input: a crystal structure in Alexandria, relaxed with GGA-PBE.
Neutral-atom scattering factors, no anomalous dispersion.

The 8 most intense peaks (15 to 90 degrees two-theta), low angle first:
2theta  d_spacing  intensity
16.86  5.260  29.9
23.30  3.817  100.0
26.80  3.327  51.0
33.64  2.664  18.2
34.09  2.630  22.7
38.26  2.352  26.6
41.71  2.166  51.3
48.65  1.872  23.0

Structure:
abc: 7.7153 7.7153 7.7153
angles: 94.04 94.04 149.21
Fractional coordinates of all 6 atoms:
Np1 0.0000 0.0000 0.0000
Br1 0.0630 0.2427 0.3057
Br2 0.2427 0.9370 0.1797
Br3 0.7573 0.0630 0.8203
Br4 0.9370 0.7573 0.6943
O1 0.5000 0.5000 0.0000